[1]
# La2Pr5Ho4
Theoretical powder X-ray diffraction pattern, Cu Kα, 1.54184 Å. Input: DFT lattice parameters and positions (PBE).

Structure:
```
La2Pr5Ho4
1.0
-1.7830 4.6478 11.9148
1.7830 -4.6478 11.9148
1.7830 4.6478 -11.9148
La Pr Ho
2 5 4
direct
0.2331 0.2331 0.0000 La
0.7669 0.7669 0.0000 La
0.1623 0.3586 0.8038 Pr
0.4452 0.6414 0.8038 Pr
0.5000 0.0000 0.5000 Pr
0.5548 0.3586 0.1962 Pr
0.8377 0.6414 0.1962 Pr
0.0968 0.0968 0.0000 Ho
0.1832 0.5000 0.6832 Ho
0.8168 0.5000 0.3168 Ho
0.9032 0.9032 0.0000 Ho
```

Principal peaks in the range 10 to 90 degrees two-theta, sorted by position:
d = 3.203 Å, 27.9 deg, intensity 58
d = 3.019 Å, 29.6 deg, intensity 49
d = 2.979 Å, 30.0 deg, intensity 39
d = 2.906 Å, 30.8 deg, intensity 25
d = 2.887 Å, 31.0 deg, intensity 68
d = 2.810 Å, 31.9 deg, intensity 100
d = 2.598 Å, 34.5 deg, intensity 27
d = 2.551 Å, 35.2 deg, intensity 49
d = 2.462 Å, 36.5 deg, intensity 46
d = 2.177 Å, 41.5 deg, intensity 33


[2]
# CdGaBO4
Theoretical powder X-ray diffraction pattern, Cu Kα, 1.54184 Å. Input: DFT lattice parameters and positions (PBE).

Structure:
```
CdGaBO4
1.0
2.9905 -4.4102 0.0000
2.9905 4.4102 0.0000
0.0000 0.0000 5.7674
Cd Ga B O
2 2 2 8
direct
0.0000 0.0000 0.0000 Cd
0.0000 0.0000 0.5000 Cd
0.3594 0.6406 0.7500 Ga
0.6406 0.3594 0.2500 Ga
0.3567 0.6433 0.2500 B
0.6433 0.3567 0.7500 B
0.2623 0.7377 0.0382 O
0.2623 0.7377 0.4618 O
0.2728 0.3329 0.2500 O
0.3329 0.2728 0.7500 O
0.6671 0.7272 0.2500 O
0.7272 0.6671 0.7500 O
0.7377 0.2623 0.5382 O
0.7377 0.2623 0.9618 O
```

Principal peaks in the range 10 to 90 degrees two-theta, sorted by position:
d = 4.950 Å, 17.9 deg, intensity 21
d = 4.410 Å, 20.1 deg, intensity 33
d = 2.990 Å, 29.9 deg, intensity 57
d = 2.639 Å, 34.0 deg, intensity 66
d = 2.492 Å, 36.0 deg, intensity 100
d = 1.878 Å, 48.5 deg, intensity 22
d = 1.752 Å, 52.2 deg, intensity 20
d = 1.650 Å, 55.7 deg, intensity 20
d = 1.612 Å, 57.1 deg, intensity 16
d = 1.511 Å, 61.3 deg, intensity 34


[3]
# U6PS5
Theoretical powder X-ray diffraction pattern, Cu Kα, 1.54184 Å. Input: DFT lattice parameters and positions (PBE).

Structure:
```
U6PS5
1.0
3.4571 -5.7082 0.0000
3.4571 5.7082 0.0000
-2.0965 0.0000 6.2566
U P S
6 1 5
direct
0.0823 0.4167 0.7492 U
0.2492 0.2492 0.2500 U
0.4167 0.0823 0.7492 U
0.5833 0.9177 0.2508 U
0.7508 0.7508 0.7500 U
0.9177 0.5833 0.2508 U
0.5000 0.5000 0.0000 P
0.0000 0.0000 0.5000 S
0.1669 0.8331 0.0000 S
0.3348 0.6652 0.5000 S
0.6652 0.3348 0.5000 S
0.8331 0.1669 0.0000 S
```

Principal peaks in the range 10 to 90 degrees two-theta, sorted by position:
d = 3.278 Å, 27.2 deg, intensity 29
d = 3.126 Å, 28.6 deg, intensity 78
d = 2.739 Å, 32.7 deg, intensity 100
d = 1.971 Å, 46.1 deg, intensity 39
d = 1.904 Å, 47.8 deg, intensity 35
d = 1.689 Å, 54.3 deg, intensity 14
d = 1.646 Å, 55.8 deg, intensity 26
d = 1.563 Å, 59.1 deg, intensity 19
d = 1.242 Å, 76.7 deg, intensity 18
d = 1.208 Å, 79.3 deg, intensity 17


[4]
# Cs2MgCuCl6
Theoretical powder X-ray diffraction pattern, Cu Kα, 1.54184 Å. Input: DFT lattice parameters and positions (PBE).

Structure:
```
Cs2MgCuCl6
1.0
3.6466 2.1053 11.9564
-3.6466 2.1053 11.9564
0.0000 -4.2107 11.9564
Cs Mg Cu Cl
4 2 2 12
direct
0.1249 0.1249 0.1249 Cs
0.2918 0.2918 0.2918 Cs
0.7082 0.7082 0.7082 Cs
0.8751 0.8751 0.8751 Cs
0.4116 0.4116 0.4116 Mg
0.5884 0.5884 0.5884 Mg
0.0000 0.0000 0.0000 Cu
0.5000 0.5000 0.5000 Cu
0.1537 0.6106 0.6106 Cl
0.2051 0.2051 0.7112 Cl
0.2051 0.7112 0.2051 Cl
0.2888 0.7949 0.7949 Cl
0.3894 0.3894 0.8463 Cl
0.3894 0.8463 0.3894 Cl
0.6106 0.1537 0.6106 Cl
0.6106 0.6106 0.1537 Cl
0.7112 0.2051 0.2051 Cl
0.7949 0.2888 0.7949 Cl
0.7949 0.7949 0.2888 Cl
0.8463 0.3894 0.3894 Cl
```

Principal peaks in the range 10 to 90 degrees two-theta, sorted by position:
d = 4.741 Å, 18.7 deg, intensity 39
d = 3.979 Å, 22.3 deg, intensity 45
d = 3.648 Å, 24.4 deg, intensity 100
d = 3.115 Å, 28.7 deg, intensity 32
d = 2.989 Å, 29.9 deg, intensity 32
d = 2.891 Å, 30.9 deg, intensity 85
d = 2.688 Å, 33.3 deg, intensity 83
d = 2.371 Å, 37.9 deg, intensity 37
d = 2.106 Å, 42.9 deg, intensity 25
d = 1.823 Å, 50.0 deg, intensity 45


[5]
# K4TmSb3O12
Theoretical powder X-ray diffraction pattern, Cu Kα, 1.54184 Å. Input: DFT lattice parameters and positions (PBE).

Structure:
```
K4TmSb3O12
1.0
-4.1242 4.1242 4.1242
4.1242 -4.1242 4.1242
4.1242 4.1242 -4.1242
K Tm Sb O
4 1 3 12
direct
0.0000 0.0000 0.5000 K
0.0000 0.5000 0.0000 K
0.5000 0.0000 0.0000 K
0.5000 0.5000 0.5000 K
0.0000 0.0000 0.0000 Tm
0.0000 0.5000 0.5000 Sb
0.5000 0.0000 0.5000 Sb
0.5000 0.5000 0.0000 Sb
0.0000 0.2656 0.2656 O
0.0000 0.7344 0.7344 O
0.2500 0.5000 0.7500 O
0.2500 0.7500 0.5000 O
0.2656 0.0000 0.2656 O
0.2656 0.2656 0.0000 O
0.5000 0.2500 0.7500 O
0.5000 0.7500 0.2500 O
0.7344 0.0000 0.7344 O
0.7344 0.7344 0.0000 O
0.7500 0.2500 0.5000 O
0.7500 0.5000 0.2500 O
```

Principal peaks in the range 10 to 90 degrees two-theta, sorted by position:
d = 4.124 Å, 21.5 deg, intensity 58
d = 2.916 Å, 30.7 deg, intensity 100
d = 2.062 Å, 43.9 deg, intensity 36
d = 1.844 Å, 49.4 deg, intensity 25
d = 1.684 Å, 54.5 deg, intensity 39
d = 1.458 Å, 63.8 deg, intensity 21
d = 1.375 Å, 68.2 deg, intensity 12
d = 1.304 Å, 72.5 deg, intensity 17
d = 1.191 Å, 80.7 deg, intensity 7
d = 1.102 Å, 88.8 deg, intensity 20


[6]
# SrCeAg
Theoretical powder X-ray diffraction pattern, Cu Kα, 1.54184 Å. Input: DFT lattice parameters and positions (PBE).

Structure:
```
SrCeAg
1.0
1.8381 -9.0486 0.0000
1.8381 9.0486 0.0000
0.0000 0.0000 5.5421
Sr Ce Ag
2 2 2
direct
0.0743 0.9257 0.7500 Sr
0.9257 0.0743 0.2500 Sr
0.2313 0.7687 0.2500 Ce
0.7687 0.2313 0.7500 Ce
0.4100 0.5900 0.7500 Ag
0.5900 0.4100 0.2500 Ag
```

Principal peaks in the range 10 to 90 degrees two-theta, sorted by position:
d = 4.726 Å, 18.8 deg, intensity 7
d = 3.016 Å, 29.6 deg, intensity 29
d = 2.771 Å, 32.3 deg, intensity 28
d = 2.731 Å, 32.8 deg, intensity 100
d = 2.041 Å, 44.4 deg, intensity 17
d = 1.838 Å, 49.6 deg, intensity 8
d = 1.681 Å, 54.6 deg, intensity 16
d = 1.592 Å, 57.9 deg, intensity 19
d = 1.532 Å, 60.4 deg, intensity 9
d = 1.366 Å, 68.7 deg, intensity 9


[7]
# Sr2LaZn
Theoretical powder X-ray diffraction pattern, Cu Kα, 1.54184 Å. Input: DFT lattice parameters and positions (PBE).

Structure:
```
Sr2LaZn
1.0
2.0158 1.1638 11.3149
-2.0158 1.1638 11.3149
0.0000 -2.3277 11.3149
Sr La Zn
2 1 1
direct
0.2348 0.2348 0.2348 Sr
0.7652 0.7652 0.7652 Sr
0.0000 0.0000 0.0000 La
0.5000 0.5000 0.5000 Zn
```

Principal peaks in the range 10 to 90 degrees two-theta, sorted by position:
d = 3.772 Å, 23.6 deg, intensity 14
d = 3.229 Å, 27.6 deg, intensity 100
d = 3.105 Å, 28.8 deg, intensity 14
d = 2.829 Å, 31.6 deg, intensity 14
d = 2.696 Å, 33.2 deg, intensity 50
d = 2.016 Å, 45.0 deg, intensity 28
d = 1.710 Å, 53.6 deg, intensity 15
d = 1.642 Å, 56.0 deg, intensity 16
d = 1.304 Å, 72.5 deg, intensity 12
d = 1.260 Å, 75.4 deg, intensity 13


[8]
# NaTlS2
Theoretical powder X-ray diffraction pattern, Cu Kα, 1.54184 Å. Input: DFT lattice parameters and positions (PBE).

Structure:
```
NaTlS2
1.0
9.4818 0.0000 0.0000
0.0000 4.1508 0.0000
-1.2554 0.0000 10.9973
Na Tl S
4 4 8
direct
0.1090 0.0864 0.1179 Na
0.1090 0.4136 0.6179 Na
0.8910 0.5864 0.3821 Na
0.8910 0.9136 0.8821 Na
0.3761 0.0592 0.8560 Tl
0.3761 0.4408 0.3560 Tl
0.6239 0.5592 0.6440 Tl
0.6239 0.9408 0.1440 Tl
0.1130 0.0856 0.3752 S
0.1130 0.4144 0.8752 S
0.2713 0.5753 0.0130 S
0.2713 0.9247 0.5130 S
0.7287 0.0753 0.4870 S
0.7287 0.4247 0.9870 S
0.8870 0.5856 0.1248 S
0.8870 0.9144 0.6248 S
```

Principal peaks in the range 10 to 90 degrees two-theta, sorted by position:
d = 5.002 Å, 17.7 deg, intensity 42
d = 4.530 Å, 19.6 deg, intensity 82
d = 3.797 Å, 23.4 deg, intensity 53
d = 3.642 Å, 24.4 deg, intensity 91
d = 3.392 Å, 26.3 deg, intensity 67
d = 3.057 Å, 29.2 deg, intensity 100
d = 2.939 Å, 30.4 deg, intensity 45
d = 2.748 Å, 32.6 deg, intensity 95
d = 2.579 Å, 34.8 deg, intensity 39
d = 1.985 Å, 45.7 deg, intensity 36